(1)
Theoretical X-ray diffraction stick pattern
Compound: Cs2Sr2C3O9
Radiation: Cu Ka
Structure: a DFT-relaxed cell (GGA-PBE, Alexandria)

Peak list (10 most intense, 2θ = 10–80°, by intensity)
| 2θ/deg | I (rel.) |
| --- | --- |
| 27.65 | 1000 |
| 45.32 | 623 |
| 32.85 | 530 |
| 24.68 | 435 |
| 41.52 | 233 |
| 21.33 | 189 |
| 48.90 | 173 |
| 43.45 | 157 |
| 58.64 | 155 |
| 67.46 | 155 |

Crystal structure
```
data_Cs2Sr2C3O9
_chemical_formula_sum 'Cs4 Sr4 C6 O18'
_symmetry_space_group_name_H-M 'P 1'
_symmetry_Int_Tables_number 1
_cell_length_a 8.8355
_cell_length_b 8.8355
_cell_length_c 8.8355
_cell_angle_alpha 109.47
_cell_angle_beta 109.47
_cell_angle_gamma 109.47
loop_
_symmetry_equiv_pos_as_xyz
'x,y,z'
loop_
_atom_site_label
_atom_site_type_symbol
_atom_site_fract_x
_atom_site_fract_y
_atom_site_fract_z
Cs1 Cs 0.0000 0.8878 0.5000
Cs2 Cs 0.5000 0.0000 0.8878
Cs3 Cs 0.6122 0.6122 0.6122
Cs4 Cs 0.8878 0.5000 0.0000
Sr1 Sr 0.0000 0.3995 0.5000
Sr2 Sr 0.1005 0.1005 0.1005
Sr3 Sr 0.3995 0.5000 0.0000
Sr4 Sr 0.5000 0.0000 0.3995
C1 C 0.1521 0.7500 0.9021
C2 C 0.2500 0.5979 0.3479
C3 C 0.3479 0.2500 0.5979
C4 C 0.5979 0.3479 0.2500
C5 C 0.7500 0.9021 0.1521
C6 C 0.9021 0.1521 0.7500
O1 O 0.0245 0.7500 0.7745
O2 O 0.0760 0.2209 0.8665
O3 O 0.1450 0.4240 0.2906
O4 O 0.2094 0.6335 0.8544
O5 O 0.2209 0.8665 0.0760
O6 O 0.2500 0.7255 0.4755
O7 O 0.2791 0.3550 0.6456
O8 O 0.2906 0.1450 0.4240
O9 O 0.3550 0.6456 0.2791
O10 O 0.4240 0.2906 0.1450
O11 O 0.4755 0.2500 0.7255
O12 O 0.6335 0.8544 0.2094
O13 O 0.6456 0.2791 0.3550
O14 O 0.7255 0.4755 0.2500
O15 O 0.7500 0.7745 0.0245
O16 O 0.7745 0.0245 0.7500
O17 O 0.8544 0.2094 0.6335
O18 O 0.8665 0.0760 0.2209
```

---

(2)
Theoretical X-ray diffraction stick pattern
Compound: KNdB12
Radiation: Cu Ka
Structure: a DFT-relaxed cell (GGA-PBE, Alexandria)

Peak list (10 most intense, 2θ = 10–80°, by intensity)
| 2θ/deg | I (rel.) |
| --- | --- |
| 30.25 | 1000 |
| 18.39 | 581 |
| 48.73 | 460 |
| 21.26 | 430 |
| 37.27 | 430 |
| 35.63 | 349 |
| 67.21 | 284 |
| 43.31 | 222 |
| 53.73 | 206 |
| 71.39 | 203 |

Crystal structure
```
data_KNdB12
_chemical_formula_sum 'K1 Nd1 B12'
_symmetry_space_group_name_H-M 'P 1'
_symmetry_Int_Tables_number 1
_cell_length_a 5.9092
_cell_length_b 5.9092
_cell_length_c 5.9092
_cell_angle_alpha 60.00
_cell_angle_beta 60.00
_cell_angle_gamma 60.00
loop_
_symmetry_equiv_pos_as_xyz
'x,y,z'
loop_
_atom_site_label
_atom_site_type_symbol
_atom_site_fract_x
_atom_site_fract_y
_atom_site_fract_z
K1 K 0.0000 0.0000 0.0000
Nd1 Nd 0.5000 0.5000 0.5000
B1 B 0.1011 0.1011 0.3989
B2 B 0.1011 0.3989 0.1011
B3 B 0.1011 0.3989 0.3989
B4 B 0.3989 0.1011 0.1011
B5 B 0.3989 0.1011 0.3989
B6 B 0.3989 0.3989 0.1011
B7 B 0.6011 0.6011 0.8989
B8 B 0.6011 0.8989 0.6011
B9 B 0.6011 0.8989 0.8989
B10 B 0.8989 0.6011 0.6011
B11 B 0.8989 0.6011 0.8989
B12 B 0.8989 0.8989 0.6011
```

---

(3)
Theoretical X-ray diffraction stick pattern
Compound: Na2DyZnGe2
Radiation: Cu Ka
Structure: a DFT-relaxed cell (GGA-PBE, Alexandria)

Peak list (10 most intense, 2θ = 10–80°, by intensity)
| 2θ/deg | I (rel.) |
| --- | --- |
| 10.42 | 1000 |
| 33.80 | 592 |
| 37.74 | 294 |
| 38.60 | 223 |
| 40.84 | 220 |
| 31.76 | 218 |
| 32.61 | 212 |
| 34.03 | 131 |
| 53.21 | 105 |
| 32.06 | 102 |

Crystal structure
```
data_Na2DyZnGe2
_chemical_formula_sum 'Na4 Dy2 Zn2 Ge4'
_symmetry_space_group_name_H-M 'P 1'
_symmetry_Int_Tables_number 1
_cell_length_a 4.4192
_cell_length_b 8.4915
_cell_length_c 7.2018
_cell_angle_alpha 90.00
_cell_angle_beta 90.00
_cell_angle_gamma 90.00
loop_
_symmetry_equiv_pos_as_xyz
'x,y,z'
loop_
_atom_site_label
_atom_site_type_symbol
_atom_site_fract_x
_atom_site_fract_y
_atom_site_fract_z
Na1 Na 0.0000 0.0861 0.0000
Na2 Na 0.0000 0.9139 0.5000
Na3 Na 0.5000 0.1520 0.3187
Na4 Na 0.5000 0.8480 0.8187
Dy1 Dy 0.5000 0.4634 0.9859
Dy2 Dy 0.5000 0.5366 0.4859
Zn1 Zn 0.0000 0.3134 0.6310
Zn2 Zn 0.0000 0.6866 0.1310
Ge1 Ge 0.0000 0.3905 0.2646
Ge2 Ge 0.0000 0.6095 0.7646
Ge3 Ge 0.5000 0.1919 0.7266
Ge4 Ge 0.5000 0.8081 0.2266
```

---

(4)
Theoretical X-ray diffraction stick pattern
Compound: Tm4Ga12Au
Radiation: Cu Ka
Structure: a DFT-relaxed cell (GGA-PBE, Alexandria)

Peak list (10 most intense, 2θ = 10–80°, by intensity)
| 2θ/deg | I (rel.) |
| --- | --- |
| 36.06 | 1000 |
| 41.89 | 837 |
| 29.28 | 667 |
| 60.73 | 478 |
| 39.07 | 287 |
| 72.70 | 275 |
| 68.83 | 197 |
| 51.92 | 191 |
| 32.83 | 183 |
| 49.56 | 176 |

Crystal structure
```
data_Tm4Ga12Au
_chemical_formula_sum 'Tm4 Ga12 Au1'
_symmetry_space_group_name_H-M 'P 1'
_symmetry_Int_Tables_number 1
_cell_length_a 7.4714
_cell_length_b 7.4714
_cell_length_c 7.4714
_cell_angle_alpha 109.47
_cell_angle_beta 109.47
_cell_angle_gamma 109.47
loop_
_symmetry_equiv_pos_as_xyz
'x,y,z'
loop_
_atom_site_label
_atom_site_type_symbol
_atom_site_fract_x
_atom_site_fract_y
_atom_site_fract_z
Tm1 Tm 0.0000 0.0000 0.5000
Tm2 Tm 0.0000 0.5000 0.0000
Tm3 Tm 0.5000 0.0000 0.0000
Tm4 Tm 0.5000 0.5000 0.5000
Ga1 Ga 0.0000 0.3038 0.3038
Ga2 Ga 0.0000 0.6962 0.6962
Ga3 Ga 0.2500 0.5000 0.7500
Ga4 Ga 0.2500 0.7500 0.5000
Ga5 Ga 0.3038 0.0000 0.3038
Ga6 Ga 0.3038 0.3038 0.0000
Ga7 Ga 0.5000 0.2500 0.7500
Ga8 Ga 0.5000 0.7500 0.2500
Ga9 Ga 0.6962 0.0000 0.6962
Ga10 Ga 0.6962 0.6962 0.0000
Ga11 Ga 0.7500 0.2500 0.5000
Ga12 Ga 0.7500 0.5000 0.2500
Au1 Au 0.0000 0.0000 0.0000
```